For Ce2NdSe4, a crystal structure in Alexandria, relaxed with GGA-PBE gives the computed powder diffractogram in this record (Cu Kα, 1.54184 Å).

Structure:
Lattice parameters (Å, degrees): 8.4397 8.4881 11.8256 90.00 90.00 90.00
Space group Imma (No. 74)
Inequivalent atoms, fractional coordinates:
1 Ce 0.0000 0.0000 0.0000 (multiplicity 4)
2 Ce 0.2500 0.2500 0.2500 (multiplicity 4)
3 Nd 0.2500 0.2500 0.7500 (multiplicity 4)
4 Se 0.0000 0.0006 0.2534 (multiplicity 8)
5 Se 0.2425 0.2500 0.0006 (multiplicity 8)

Main lines, in order of rising 2θ (15° ≤ 2θ ≤ 90°):
two_theta, Rel. int.
29.86, 1000
30.23, 484
42.61, 188
42.86, 184
43.01, 731
53.13, 196
53.34, 192
70.54, 247



For La7Nd2Er2, a crystal structure in Alexandria, relaxed with GGA-PBE gives the computed powder diffractogram in this record (Cu Kα, 1.54184 Å).

Structure:
Lattice parameters (Å, degrees): 11.6582 11.6287 6.2260 90.00 111.62 90.00
Space group C2/m (No. 12)
Inequivalent atoms, fractional coordinates:
1 La 0.0000 0.0000 0.0000 (multiplicity 2)
2 La 0.0737 0.5000 0.8008 (multiplicity 4)
3 La 0.1853 0.2309 0.1810 (multiplicity 8)
4 Nd 0.2265 0.0000 0.5957 (multiplicity 4)
5 Er 0.0000 0.2140 0.5000 (multiplicity 4)

Main lines, in order of rising 2θ (15° ≤ 2θ ≤ 90°):
two_theta, Rel. int.
24.97, 185
29.14, 129
29.88, 285
30.57, 1000
30.79, 652
33.04, 394
33.26, 323
48.99, 146